Starting from a structure optimized by DFT (GGA-PBE), the powder diffraction line list of Nd4CuTe3 was computed for Cu Kα X-rays.
Neutral-atom scattering factors, no anomalous dispersion.

The 10 most intense peaks (10° ≤ 2θ ≤ 90°), by angle:
two_theta, Rel. int.
28.4, 51
28.5, 100
39.8, 19
40.7, 76
41.7, 18
49.6, 20
51.2, 20
66.6, 17
66.7, 16
75.4, 12

```
Nd4CuTe3
1.0
9.0551 0.0000 0.0000
0.0000 12.5756 0.0000
0.0000 0.0000 4.3349
Nd Cu Te
8 2 6
Direct
0.0000 0.2425 0.0000
0.0000 0.7575 0.0000
0.2286 0.0000 0.5000
0.2714 0.5000 0.5000
0.5000 0.2575 0.0000
0.5000 0.7425 0.0000
0.7286 0.5000 0.5000
0.7714 0.0000 0.5000
0.0000 0.0000 0.0000
0.5000 0.5000 0.0000
0.0000 0.5000 0.0000
0.2500 0.2500 0.5000
0.2500 0.7500 0.5000
0.5000 0.0000 0.0000
0.7500 0.2500 0.5000
0.7500 0.7500 0.5000
```

Starting from a structure optimized by DFT (GGA-PBE), the powder diffraction line list of Nd2CuTe4 was computed for Cu Kα X-rays.
Neutral-atom scattering factors, no anomalous dispersion.

The 10 most intense peaks (10° ≤ 2θ ≤ 90°), by angle:
two_theta, Rel. int.
20.9, 39
25.4, 41
29.0, 62
30.1, 43
31.5, 49
32.0, 72
34.1, 89
35.2, 100
36.4, 44
39.2, 72

```
Nd2CuTe4
1.0
6.4237 0.0000 0.0000
0.0000 8.4008 0.0000
-0.0128 0.0000 7.7264
Nd Cu Te
4 2 8
Direct
0.0006 0.0000 0.2309
0.4954 0.8856 0.7593
0.5046 0.3856 0.2407
0.9994 0.5000 0.7691
0.1902 0.6511 0.4146
0.8098 0.1511 0.5854
0.0124 0.8583 0.6179
0.2472 0.6922 0.0833
0.2541 0.1939 0.9305
0.4827 0.5330 0.6196
0.5173 0.0330 0.3804
0.7459 0.6939 0.0695
0.7528 0.1922 0.9167
0.9876 0.3583 0.3821
```

Starting from a structure optimized by DFT (GGA-PBE), the powder diffraction line list of NdThCu4 was computed for Cu Kα X-rays.
Neutral-atom scattering factors, no anomalous dispersion.

The 10 most intense peaks (10° ≤ 2θ ≤ 90°), by angle:
two_theta, Rel. int.
22.8, 16
28.4, 38
34.2, 100
36.7, 55
46.1, 34
46.8, 31
55.1, 13
60.4, 25
67.9, 20
77.7, 18

```
NdThCu4
1.0
3.9340 0.0000 0.0000
0.0000 3.9340 0.0000
0.0000 0.0000 15.6115
Nd Th Cu
2 2 8
Direct
0.0000 0.0000 0.0000
0.5000 0.5000 0.5000
0.0000 0.5000 0.2500
0.5000 0.0000 0.7500
0.0000 0.0000 0.4198
0.0000 0.0000 0.5802
0.0000 0.5000 0.6705
0.0000 0.5000 0.8295
0.5000 0.0000 0.1705
0.5000 0.0000 0.3295
0.5000 0.5000 0.0802
0.5000 0.5000 0.9198
```

Starting from a structure optimized by DFT (GGA-PBE), the powder diffraction line list of Nd12Tl3Cu was computed for Cu Kα X-rays.
Neutral-atom scattering factors, no anomalous dispersion.

The 10 most intense peaks (10° ≤ 2θ ≤ 90°), by angle:
two_theta, Rel. int.
31.2, 100
36.0, 35
36.6, 15
51.9, 12
52.3, 22
61.8, 29
62.5, 12
65.1, 11
84.9, 6
85.5, 10

```
Nd12Tl3Cu
1.0
4.9833 0.0000 0.0000
0.0000 4.9833 0.0000
0.0000 0.0000 19.6654
Nd Tl Cu
12 3 1
Direct
0.0000 0.0000 0.0000
0.0000 0.0000 0.2424
0.0000 0.0000 0.5000
0.0000 0.0000 0.7576
0.0000 0.5000 0.1166
0.0000 0.5000 0.3718
0.0000 0.5000 0.6282
0.0000 0.5000 0.8834
0.5000 0.0000 0.1166
0.5000 0.0000 0.3718
0.5000 0.0000 0.6282
0.5000 0.0000 0.8834
0.5000 0.5000 0.2448
0.5000 0.5000 0.5000
0.5000 0.5000 0.7552
0.5000 0.5000 0.0000
```

Starting from a structure optimized by DFT (GGA-PBE), the powder diffraction line list of Nd2TmCu3 was computed for Cu Kα X-rays.
Neutral-atom scattering factors, no anomalous dispersion.

The 10 most intense peaks (10° ≤ 2θ ≤ 90°), by angle:
two_theta, Rel. int.
25.0, 10
25.3, 18
35.9, 100
36.1, 51
44.4, 9
51.3, 8
52.0, 18
64.4, 16
64.8, 35
76.1, 10

```
Nd2TmCu3
1.0
3.5161 0.0000 0.0000
0.0000 3.5161 0.0000
0.0000 0.0000 10.6811
Nd Tm Cu
2 1 3
Direct
0.0000 0.0000 0.1722
0.0000 0.0000 0.8278
0.0000 0.0000 0.5000
0.5000 0.5000 0.0000
0.5000 0.5000 0.3519
0.5000 0.5000 0.6481
```

Starting from a structure optimized by DFT (GGA-PBE), the powder diffraction line list of NdTmCu10 was computed for Cu Kα X-rays.
Neutral-atom scattering factors, no anomalous dispersion.

The 10 most intense peaks (10° ≤ 2θ ≤ 90°), by angle:
two_theta, Rel. int.
29.9, 71
35.7, 30
41.4, 35
42.0, 51
42.1, 100
44.1, 42
57.9, 22
62.0, 20
68.4, 22
79.7, 22

```
NdTmCu10
1.0
4.1075 0.0000 0.0000
0.0000 5.0480 0.0000
0.0000 0.0000 8.7021
Nd Tm Cu
1 1 10
Direct
0.0000 0.0000 0.0000
0.0000 0.5000 0.5000
0.0000 0.0000 0.3384
0.0000 0.0000 0.6616
0.0000 0.5000 0.1728
0.0000 0.5000 0.8272
0.5000 0.0000 0.5000
0.5000 0.2526 0.2550
0.5000 0.2526 0.7450
0.5000 0.5000 0.0000
0.5000 0.7474 0.2550
0.5000 0.7474 0.7450
```

Starting from a structure optimized by DFT (GGA-PBE), the powder diffraction line list of Nd3YCu4 was computed for Cu Kα X-rays.
Neutral-atom scattering factors, no anomalous dispersion.

The 10 most intense peaks (10° ≤ 2θ ≤ 90°), by angle:
two_theta, Rel. int.
24.9, 8
25.1, 4
35.6, 100
51.2, 12
51.4, 6
63.9, 23
64.1, 11
75.5, 7
86.2, 10
86.6, 5

```
Nd3YCu4
1.0
5.0489 0.0000 0.0000
0.0000 5.0489 0.0000
0.0000 0.0000 7.1076
Nd Y Cu
3 1 4
Direct
0.0000 0.0000 0.0000
0.0000 0.0000 0.5000
0.5000 0.5000 0.0000
0.5000 0.5000 0.5000
0.0000 0.5000 0.2578
0.0000 0.5000 0.7422
0.5000 0.0000 0.2578
0.5000 0.0000 0.7422
```

Starting from a structure optimized by DFT (GGA-PBE), the powder diffraction line list of Nd2YCu was computed for Cu Kα X-rays.
Neutral-atom scattering factors, no anomalous dispersion.

The 10 most intense peaks (10° ≤ 2θ ≤ 90°), by angle:
two_theta, Rel. int.
30.0, 100
30.1, 29
31.0, 55
31.4, 34
32.6, 51
34.0, 33
35.1, 30
37.1, 20
51.6, 20
54.5, 19

```
Nd2YCu
1.0
7.0466 0.0000 0.0000
0.0000 10.0309 0.0000
0.0000 0.0000 6.5532
Nd Y Cu
8 4 4
Direct
0.1947 0.0599 0.1786
0.1947 0.4401 0.1786
0.3053 0.5599 0.6786
0.3053 0.9401 0.6786
0.6947 0.0599 0.3214
0.6947 0.4401 0.3214
0.8053 0.5599 0.8214
0.8053 0.9401 0.8214
0.0261 0.2500 0.6411
0.4739 0.7500 0.1411
0.5261 0.2500 0.8589
0.9739 0.7500 0.3589
0.1004 0.7500 0.9456
0.3996 0.2500 0.4456
0.6004 0.7500 0.5544
0.8996 0.2500 0.0544
```

Starting from a structure optimized by DFT (GGA-PBE), the powder diffraction line list of Nd3Zn3Cu2 was computed for Cu Kα X-rays.
Neutral-atom scattering factors, no anomalous dispersion.

The 10 most intense peaks (10° ≤ 2θ ≤ 90°), by angle:
two_theta, Rel. int.
32.1, 100
33.5, 73
35.3, 21
35.7, 26
37.7, 23
39.7, 68
41.0, 31
54.4, 33
57.4, 21
68.1, 21

```
Nd3Zn3Cu2
1.0
2.2702 -5.0805 0.0000
2.2702 5.0805 0.0000
0.0000 0.0000 15.0704
Nd Zn Cu
6 6 4
Direct
0.0978 0.9022 0.6050
0.0978 0.9022 0.8950
0.3896 0.6104 0.7500
0.6104 0.3896 0.2500
0.9022 0.0978 0.1050
0.9022 0.0978 0.3950
0.3141 0.6859 0.2500
0.3834 0.6166 0.5396
0.3834 0.6166 0.9604
0.6166 0.3834 0.0396
0.6166 0.3834 0.4604
0.6859 0.3141 0.7500
0.1993 0.8007 0.0984
0.1993 0.8007 0.4016
0.8007 0.1993 0.5984
0.8007 0.1993 0.9016
```

Starting from a structure optimized by DFT (GGA-PBE), the powder diffraction line list of NdZnCu5 was computed for Cu Kα X-rays.
Neutral-atom scattering factors, no anomalous dispersion.

The 10 most intense peaks (10° ≤ 2θ ≤ 90°), by angle:
two_theta, Rel. int.
35.2, 20
36.7, 28
38.5, 100
39.4, 16
41.7, 15
42.7, 17
45.3, 36
45.5, 16
45.7, 23
65.3, 19

```
NdZnCu5
1.0
8.1631 0.0000 0.0000
0.0000 5.1062 0.0000
0.0000 0.0000 10.2740
Nd Zn Cu
4 4 20
Direct
0.2404 0.2500 0.0617
0.2596 0.7500 0.5617
0.7404 0.2500 0.4383
0.7596 0.7500 0.9383
0.1440 0.7500 0.8599
0.3560 0.2500 0.3599
0.6440 0.7500 0.6401
0.8560 0.2500 0.1401
0.0632 0.7500 0.0995
0.0660 0.0045 0.3094
0.0660 0.4955 0.3094
0.0933 0.2500 0.5158
0.1817 0.2500 0.7525
0.3183 0.7500 0.2525
0.4067 0.7500 0.0158
0.4340 0.5045 0.8094
0.4340 0.9955 0.8094
0.4368 0.2500 0.5995
0.5632 0.7500 0.4005
0.5660 0.0045 0.1906
0.5660 0.4955 0.1906
0.5933 0.2500 0.9842
0.6817 0.2500 0.7475
0.8183 0.7500 0.2475
0.9067 0.7500 0.4842
0.9340 0.5045 0.6906
0.9340 0.9955 0.6906
0.9368 0.2500 0.9005
```

Starting from a structure optimized by DFT (GGA-PBE), the powder diffraction line list of Nd2ZnCu was computed for Cu Kα X-rays.
Neutral-atom scattering factors, no anomalous dispersion.

The 10 most intense peaks (10° ≤ 2θ ≤ 90°), by angle:
two_theta, Rel. int.
24.4, 17
34.8, 100
35.0, 20
50.1, 21
62.4, 21
62.5, 7
62.6, 14
73.6, 9
84.0, 9
84.1, 6

```
Nd2ZnCu
1.0
5.1635 0.0000 0.0000
0.0000 3.6438 0.0000
0.0000 0.0000 10.2631
Nd Zn Cu
4 2 2
Direct
0.2500 0.0000 0.1209
0.2500 0.0000 0.6316
0.7500 0.0000 0.3684
0.7500 0.0000 0.8791
0.2500 0.5000 0.3808
0.7500 0.5000 0.6192
0.2500 0.5000 0.8740
0.7500 0.5000 0.1260
```

Starting from a structure optimized by DFT (GGA-PBE), the powder diffraction line list of Nd3Zn7Cu2 was computed for Cu Kα X-rays.
Neutral-atom scattering factors, no anomalous dispersion.

The 10 most intense peaks (10° ≤ 2θ ≤ 90°), by angle:
two_theta, Rel. int.
30.4, 38
32.8, 44
33.3, 33
38.3, 37
38.9, 100
41.3, 15
42.0, 14
62.7, 24
63.3, 17
68.9, 22

```
Nd3Zn7Cu2
1.0
2.7268 1.5743 8.7482
-2.7268 1.5743 8.7482
0.0000 -3.1486 8.7482
Nd Zn Cu
3 7 2
Direct
0.0000 0.0000 0.0000
0.1424 0.1424 0.1424
0.8576 0.8576 0.8576
0.0764 0.5798 0.5798
0.4202 0.4202 0.9236
0.4202 0.9236 0.4202
0.5000 0.5000 0.5000
0.5798 0.0764 0.5798
0.5798 0.5798 0.0764
0.9236 0.4202 0.4202
0.3342 0.3342 0.3342
0.6658 0.6658 0.6658
```

Starting from a structure optimized by DFT (GGA-PBE), the powder diffraction line list of Nd6ZnCu5 was computed for Cu Kα X-rays.
Neutral-atom scattering factors, no anomalous dispersion.

The 10 most intense peaks (10° ≤ 2θ ≤ 90°), by angle:
two_theta, Rel. int.
24.6, 15
35.1, 51
35.2, 100
50.4, 18
50.8, 9
63.0, 35
63.3, 17
74.4, 11
84.7, 8
84.8, 8

```
Nd6ZnCu5
1.0
5.1185 0.0000 0.0000
0.0000 7.1836 0.0000
-2.5702 0.0000 7.6784
Nd Zn Cu
6 1 5
Direct
0.0000 0.2439 0.0000
0.0000 0.7561 0.0000
0.3317 0.2484 0.6624
0.3317 0.7516 0.6624
0.6683 0.2484 0.3376
0.6683 0.7516 0.3376
0.5000 0.5000 0.0000
0.1589 0.5000 0.3215
0.1654 0.0000 0.3326
0.5000 0.0000 0.0000
0.8346 0.0000 0.6674
0.8411 0.5000 0.6785
```